Simulated powder diffractogram
Compound: Sr5Li2Au
Radiation: CuKα
Structure: a GGA-PBE-relaxed structure
Neutral-atom scattering factors, no anomalous dispersion.

Top 10 peaks for 2θ = 10–90°, low angle first:
- hkl 1 1 -1, 2θ = 15.61°, I = 704
- hkl 1 1 1, 2θ = 16.36°, I = 1000
- hkl 4 0 0, 2θ = 18.38°, I = 503
- hkl 2 0 -2, 2θ = 20.27°, I = 438
- hkl 0 2 1, 2θ = 25.80°, I = 611
- hkl 5 1 0, 2θ = 25.99°, I = 522
- hkl 6 0 0, 2θ = 27.72°, I = 308
- hkl 5 1 1, 2θ = 28.87°, I = 686
- hkl 1 1 -3, 2θ = 31.35°, I = 814
- hkl 5 3 -1, 2θ = 43.74°, I = 403

a b c (Å): 19.484 7.454 9.267
angles (deg): 90.00 97.75 90.00
Space group C2/c (No. 15)
One atom of each set of equivalent atoms:
Sr: 0.000 0.114 0.250 (multiplicity 4)
Sr: 0.095 0.372 0.925 (multiplicity 8)
Sr: 0.220 0.099 0.308 (multiplicity 8)
Li: 0.104 0.180 0.575 (multiplicity 8)
Au: 0.250 0.250 0.000 (multiplicity 4)